Entry 1:
For Ba4HfO6, the GGA-PBE geometry in the Materials Project gives the calculated X-ray diffraction stick pattern in this record (Cu Ka).

Crystal structure
Cell: 10.5264 10.5264 13.0550 Å, 90.00 90.00 120.00°
Space group R-3c (No. 167, hexagonal axes)
Asymmetric unit:
Ba 0.0000 0.0000 0.2500 x6
Ba 0.0000 0.3644 0.2500 x18
Hf 0.0000 0.0000 0.0000 x6
O 0.0220 0.1748 0.4048 x36

Main lines, sorted by position (10° ≤ 2θ ≤ 90°):
hkl, 2theta, Rel. int.
1 1 0, 16.85, 18
1 1 3, 26.58, 61
1 0 4, 29.06, 12
3 0 0, 29.39, 100
0 2 4, 33.78, 28
2 1 4, 37.97, 31
2 2 3, 40.04, 31
3 2 4, 51.93, 24
3 3 0, 52.13, 18
3 5 4, 79.19, 12

***

Entry 2:
For BaHfSi3O9, the GGA-PBE geometry in the Materials Project gives the calculated X-ray diffraction stick pattern in this record (Cu Ka).

Crystal structure
Cell: 6.8359 6.8359 10.1102 Å, 90.00 90.00 120.00°
Space group P-6c2 (No. 188)
Asymmetric unit:
Ba 0.0000 0.0000 0.0000 x2
Hf 0.3333 0.6667 0.0000 x2
Si 0.4463 0.0525 0.2500 x6
O 0.0872 0.4109 0.1162 x12
O 0.4188 0.1387 0.7500 x6

Main lines, sorted by position (10° ≤ 2θ ≤ 90°):
hkl, 2theta, Rel. int.
1 0 0, 14.96, 51
0 0 2, 17.54, 17
1 0 2, 23.14, 82
1 1 0, 26.07, 37
1 1 2, 31.60, 100
1 1 4, 44.59, 29
3 0 0, 45.99, 18
3 0 2, 49.59, 22
2 1 4, 54.79, 16
2 2 2, 56.85, 22

***

Entry 3:
For Ba4SrHf5O15, the GGA-PBE geometry in the Materials Project gives the calculated X-ray diffraction stick pattern in this record (Cu Ka).

Crystal structure
Cell: 5.9353 5.9353 36.3340 Å, 90.00 90.00 120.00°
Space group R-3m (No. 166, hexagonal axes)
Asymmetric unit:
Ba 0.0000 0.0000 0.1002 x6
Ba 0.0000 0.0000 0.3000 x6
Sr 0.0000 0.0000 0.5000 x3
Hf 0.0000 0.0000 0.0000 x3
Hf 0.0000 0.0000 0.1998 x6
Hf 0.0000 0.0000 0.4003 x6
O 0.0002 0.5001 0.3000 x18
O 0.0000 0.5000 0.5000 x9
O 0.0018 0.5009 0.1005 x18

Main lines, sorted by position (10° ≤ 2θ ≤ 90°):
hkl, 2theta, Rel. int.
0 1 5, 21.17, 7
1 1 0, 30.12, 100
0 2 10, 43.11, 28
1 2 5, 48.51, 3
3 0 0, 53.49, 41
2 2 0, 62.61, 18
3 1 5, 66.89, 1
1 3 10, 71.03, 18
4 0 10, 79.05, 6
4 1 0, 86.85, 22

***

Entry 4:
For BaSrHfZrO6, the GGA-PBE geometry in the Materials Project gives the calculated X-ray diffraction stick pattern in this record (Cu Ka).

Crystal structure
Cell: 8.4030 8.4030 8.4030 Å, 90.00 90.00 90.00°
Space group F-43m (No. 216)
Asymmetric unit:
Ba 0.0000 0.0000 0.0000 x4
Sr 0.0000 0.0000 0.5000 x4
Hf 0.2500 0.2500 0.2500 x4
Zr 0.2500 0.2500 0.7500 x4
O 0.0018 0.2500 0.2500 x24

Main lines, sorted by position (10° ≤ 2θ ≤ 90°):
hkl, 2theta, Rel. int.
1 1 1, 18.29, 9
2 0 0, 21.15, 4
2 2 0, 30.08, 100
3 1 1, 35.43, 5
4 0 0, 43.06, 31
4 2 2, 53.42, 41
4 4 0, 62.53, 19
6 2 0, 70.93, 18
4 4 4, 78.93, 6
6 4 2, 86.71, 22

***

What is the formula in the fourth record? BaSrHfZrO6